# 1
This entry pairs a crystal structure of KTeMo with its theoretical powder diffractogram. Radiation: copper Kα. Structure: a structure optimized by DFT (PBE).
Neutral-atom scattering factors, no anomalous dispersion.

Cell and atoms:
```
KTeMo
1.0
3.529 0.000 0.000
0.000 3.529 0.000
0.000 0.000 13.337
K Te Mo
2 2 2
direct
0.000 0.000 0.000
0.500 0.500 0.500
0.000 0.000 0.708
0.500 0.500 0.208
0.000 0.000 0.294
0.500 0.500 0.794
```

Peak list (12 most intense, 2θ from 10° to 90°, sorted by position)
2θ 13.28, I 1000; 2θ 26.74, I 196; 2θ 32.39, I 862; 2θ 35.99, I 547; 2θ 38.52, I 300; 2θ 42.48, I 310; 2θ 45.39, I 176; 2θ 51.81, I 185; 2θ 54.75, I 288; 2θ 62.44, I 242; 2θ 69.16, I 147; 2θ 78.73, I 194



# 2
This entry pairs a crystal structure of Pr3Er2Sc with its theoretical powder diffractogram. Radiation: copper Kα. Structure: a structure optimized by DFT (PBE).
Neutral-atom scattering factors, no anomalous dispersion.

Cell and atoms:
```
Pr3Er2Sc
1.0
6.186 0.000 0.000
2.091 7.688 0.000
0.065 3.356 8.107
Pr Er Sc
6 4 2
direct
0.040 0.138 0.285
0.293 0.873 0.043
0.372 0.129 0.626
0.628 0.871 0.374
0.707 0.127 0.957
0.960 0.862 0.715
0.208 0.619 0.462
0.452 0.385 0.204
0.548 0.615 0.796
0.792 0.381 0.538
0.122 0.382 0.875
0.878 0.618 0.125
```

Peak list (12 most intense, 2θ from 10° to 90°, sorted by position)
2θ 30.57, I 1000; 2θ 30.80, I 971; 2θ 35.55, I 662; 2θ 35.64, I 334; 2θ 51.22, I 466; 2θ 60.58, I 141; 2θ 60.70, I 139; 2θ 60.90, I 140; 2θ 61.01, I 271; 2θ 61.10, I 132; 2θ 63.64, I 123; 2θ 86.29, I 157